Record 1
# H14RuS2N4O6
Calculated powder diffraction line list, Cu Kα. Input: a cell relaxed with PBE.
Lines closer than 0.1° are merged.

Peak list (12 most intense, 10° ≤ 2θ ≤ 90°, by intensity)
d/Å	two_theta	intensity
5.751	15.41	100.0
5.358	16.55	90.4
5.914	14.98	64.7
2.914	30.68	48.9
4.692	18.91	41.4
2.685	33.38	31.3
2.434	36.93	30.3
3.299	27.03	30.0
5.113	17.34	25.2
4.467	19.88	22.6
4.147	21.42	20.4
3.720	23.92	20.4

```
H14RuS2N4O6
1.0
6.315 0.000 0.000
0.000 7.092 0.000
-4.863 0.000 10.715
H Ru S N O
28 2 4 8 12
Direct
0.045 0.023 0.333 H
0.045 0.477 0.833 H
0.161 0.217 0.523 H
0.161 0.283 0.023 H
0.184 0.612 0.770 H
0.184 0.888 0.270 H
0.206 0.117 0.270 H
0.206 0.383 0.770 H
0.277 0.539 0.412 H
0.277 0.961 0.912 H
0.316 0.107 0.656 H
0.316 0.393 0.156 H
0.413 0.197 0.118 H
0.413 0.303 0.618 H
0.587 0.697 0.382 H
0.587 0.803 0.882 H
0.684 0.607 0.844 H
0.684 0.893 0.344 H
0.723 0.039 0.088 H
0.723 0.461 0.588 H
0.794 0.617 0.230 H
0.794 0.883 0.730 H
0.816 0.112 0.730 H
0.816 0.388 0.230 H
0.839 0.717 0.977 H
0.839 0.783 0.477 H
0.955 0.523 0.167 H
0.955 0.977 0.667 H
0.500 0.000 0.500 Ru
0.500 0.500 0.000 Ru
0.361 0.744 0.563 S
0.361 0.756 0.063 S
0.639 0.244 0.937 S
0.639 0.256 0.437 S
0.199 0.006 0.324 N
0.199 0.494 0.824 N
0.327 0.180 0.583 N
0.327 0.320 0.083 N
0.673 0.680 0.917 N
0.673 0.820 0.417 N
0.801 0.506 0.176 N
0.801 0.994 0.676 N
0.181 0.621 0.442 O
0.181 0.879 0.942 O
0.207 0.714 0.128 O
0.207 0.786 0.628 O
0.456 0.101 0.864 O
0.456 0.399 0.364 O
0.544 0.601 0.636 O
0.544 0.899 0.136 O
0.793 0.214 0.372 O
0.793 0.286 0.872 O
0.819 0.121 0.058 O
0.819 0.379 0.558 O
```

---

Record 2
# TcH2NO2
Calculated powder diffraction line list, Cu Kα. Input: a cell relaxed with PBE.
Lines closer than 0.1° are merged.

Peak list (12 most intense, 10° ≤ 2θ ≤ 90°, by intensity)
d/Å	two_theta	intensity
5.506	16.10	100.0
2.753	32.52	74.8
3.184	28.02	63.1
3.486	25.55	60.6
2.159	41.85	43.4
1.787	51.12	38.7
1.743	52.49	33.7
2.297	39.23	23.5
1.335	70.55	19.7
2.670	33.57	18.7
1.148	84.34	15.6
1.376	68.12	14.3

```
TcH2NO2
1.0
-3.053 3.053 6.369
3.053 -3.053 6.369
3.053 3.053 -6.369
Tc H N O
4 8 4 8
Direct
0.000 0.000 0.000 Tc
0.500 0.000 0.000 Tc
0.500 0.000 0.500 Tc
0.500 0.500 0.500 Tc
0.076 0.599 0.015 H
0.084 0.061 0.485 H
0.099 0.584 0.523 H
0.439 0.424 0.023 H
0.561 0.576 0.977 H
0.901 0.416 0.477 H
0.916 0.939 0.515 H
0.924 0.401 0.985 H
0.000 0.000 0.500 N
0.000 0.500 0.000 N
0.000 0.500 0.500 N
0.500 0.500 0.000 N
0.206 0.776 0.053 O
0.223 0.152 0.447 O
0.276 0.723 0.570 O
0.348 0.294 0.070 O
0.652 0.706 0.930 O
0.724 0.277 0.430 O
0.777 0.848 0.553 O
0.794 0.224 0.947 O
```

---

Record 3
# RbH2N
Calculated powder diffraction line list, Cu Kα. Input: a cell relaxed with PBE.
Lines closer than 0.1° are merged.

Peak list (12 most intense, 10° ≤ 2θ ≤ 90°, by intensity)
d/Å	two_theta	intensity
3.180	28.06	100.0
3.526	25.26	62.3
3.196	27.91	42.1
3.605	24.69	36.2
2.152	41.98	35.0
2.375	37.88	34.0
4.160	21.36	26.9
2.965	30.14	23.6
2.868	31.19	19.7
2.414	37.24	16.1
2.113	42.79	15.6
1.866	48.79	14.6

```
RbH2N
1.0
4.883 0.000 0.000
0.000 4.227 0.000
-0.956 0.000 6.393
Rb H N
2 4 2
Direct
0.195 0.250 0.296 Rb
0.805 0.750 0.704 Rb
0.344 0.062 0.846 H
0.344 0.438 0.846 H
0.656 0.562 0.154 H
0.656 0.938 0.154 H
0.264 0.250 0.754 N
0.736 0.750 0.246 N
```

---

Record 4
# Rb3H12N5
Calculated powder diffraction line list, Cu Kα. Input: a cell relaxed with PBE.
Lines closer than 0.1° are merged.

Peak list (12 most intense, 10° ≤ 2θ ≤ 90°, by intensity)
d/Å	two_theta	intensity
4.158	21.37	100.0
2.722	32.90	59.2
3.221	27.70	46.0
1.997	45.41	38.3
2.277	39.57	37.2
2.940	30.40	32.6
7.202	12.29	26.8
2.401	37.46	26.2
1.652	55.63	24.9
3.601	24.72	23.7
1.860	48.99	23.4
1.610	57.20	17.7

```
Rb3H12N5
1.0
-5.093 5.093 5.093
5.093 -5.093 5.093
5.093 5.093 -5.093
Rb H N
6 24 10
Direct
0.079 0.750 0.829 Rb
0.250 0.671 0.421 Rb
0.421 0.250 0.671 Rb
0.671 0.421 0.250 Rb
0.750 0.829 0.079 Rb
0.829 0.079 0.750 Rb
0.029 0.248 0.167 H
0.048 0.874 0.414 H
0.086 0.960 0.634 H
0.167 0.029 0.248 H
0.219 0.471 0.638 H
0.248 0.167 0.029 H
0.252 0.281 0.919 H
0.281 0.919 0.252 H
0.333 0.581 0.862 H
0.414 0.048 0.874 H
0.452 0.866 0.825 H
0.471 0.638 0.219 H
0.540 0.626 0.675 H
0.581 0.862 0.333 H
0.626 0.675 0.540 H
0.634 0.086 0.960 H
0.638 0.219 0.471 H
0.675 0.540 0.626 H
0.825 0.452 0.866 H
0.862 0.333 0.581 H
0.866 0.825 0.452 H
0.874 0.414 0.048 H
0.919 0.252 0.281 H
0.960 0.634 0.086 H
0.000 0.844 0.500 N
0.160 0.910 0.250 N
0.250 0.160 0.910 N
0.340 0.590 0.750 N
0.500 0.000 0.844 N
0.590 0.750 0.340 N
0.656 0.656 0.656 N
0.750 0.340 0.590 N
0.844 0.500 0.000 N
0.910 0.250 0.160 N
```